1.
NaCe3Pb4: theoretical powder XRD pattern (Cu Kα), based on a crystal structure in Alexandria, relaxed with PBE.

Peak list (10 most intense, 5° ≤ 2θ ≤ 70°, by angle)
(0 0 4), 19.44 deg, 4.567 Å, intensity 7; (1 1 0), 24.86 deg, 3.582 Å, intensity 8; (1 1 4), 31.75 deg, 2.819 Å, intensity 100; (2 0 0), 35.44 deg, 2.533 Å, intensity 38; (0 0 8), 39.46 deg, 2.284 Å, intensity 14; (2 2 0), 50.99 deg, 1.791 Å, intensity 14; (2 0 8), 54.07 deg, 1.696 Å, intensity 22; (3 1 4), 61.32 deg, 1.512 Å, intensity 32; (2 2 8), 66.32 deg, 1.409 Å, intensity 12; (1 1 12), 66.76 deg, 1.401 Å, intensity 12

Cell and atoms:
```
data_NaCe3Pb4
_space_group_name_H-M_alt 'I 4/m m m'
_space_group_IT_number 139
_space_group_name_Hall '-I 4 2'
_cell_length_a 5.0661
_cell_length_b 5.0661
_cell_length_c 18.2691
_cell_angle_alpha 90.00
_cell_angle_beta 90.00
_cell_angle_gamma 90.00
loop_
_atom_site_label
_atom_site_type_symbol
_atom_site_fract_x
_atom_site_fract_y
_atom_site_fract_z
_atom_site_occupancy
Na1 Na 0.0000 0.0000 0.0000 1
Ce1 Ce 0.0000 0.0000 0.2528 1
Ce2 Ce 0.0000 0.0000 0.5000 1
Pb1 Pb 0.0000 0.5000 0.1227 1
```

---

2.
SrAc12Rh6: theoretical powder XRD pattern (Cu Kα), based on a crystal structure in Alexandria, relaxed with PBE.

Peak list (10 most intense, 5° ≤ 2θ ≤ 70°, by angle)
(1 0 1), 10.56 deg, 8.379 Å, intensity 55; (1 1 3), 26.73 deg, 3.336 Å, intensity 45; (1 3 1), 26.87 deg, 3.318 Å, intensity 100; (3 0 3), 32.04 deg, 2.793 Å, intensity 84; (3 2 1), 32.17 deg, 2.783 Å, intensity 39; (1 0 4), 32.55 deg, 2.751 Å, intensity 25; (0 4 2), 32.75 deg, 2.735 Å, intensity 67; (3 3 0), 37.33 deg, 2.409 Å, intensity 30; (5 0 2), 39.38 deg, 2.288 Å, intensity 48; (3 5 1), 51.75 deg, 1.767 Å, intensity 38

Cell and atoms:
```
data_SrAc12Rh6
_space_group_name_H-M_alt 'R -3 m'
_space_group_IT_number 166
_space_group_name_Hall '-R 3 2"'
_cell_length_a 14.4522
_cell_length_b 14.4522
_cell_length_c 11.2803
_cell_angle_alpha 90.00
_cell_angle_beta 90.00
_cell_angle_gamma 120.00
loop_
_atom_site_label
_atom_site_type_symbol
_atom_site_fract_x
_atom_site_fract_y
_atom_site_fract_z
_atom_site_occupancy
Sr1 Sr 0.0000 0.0000 0.0000 1
Ac1 Ac 0.0000 0.3712 0.5000 1
Ac2 Ac 0.0880 0.1761 0.3636 1
Rh1 Rh 0.0523 0.5262 0.2808 1
```